This entry pairs a crystal structure of La2ThTaCl3O6 with its computed powder XRD pattern. Radiation: Cu Kα X-rays. Structure: a cell relaxed with GGA-PBE.

Cell and atoms:
abc: 9.4212 5.4785 9.4362
angles: 90.00 119.41 90.00
Fractional coordinates of all 26 atoms:
La 0.0000 0.0000 0.0000
La 0.0846 0.5000 0.3928
La 0.3594 0.5000 0.1695
La 0.5865 0.5000 0.6775
Th 0.2613 0.0000 0.7554
Th 0.7598 0.0000 0.4961
Ta 0.0113 0.5000 0.7482
Ta 0.3443 0.0000 0.4172
Cl 0.4353 0.5000 0.8906
Cl 0.4881 0.0000 0.1300
Cl 0.6237 0.0000 0.8436
Cl 0.7306 0.5000 0.3279
Cl 0.8700 0.5000 0.0273
Cl 0.9107 0.0000 0.2745
O 0.0431 0.2597 0.6046
O 0.0431 0.7403 0.6046
O 0.1563 0.2614 0.9182
O 0.1563 0.7386 0.9182
O 0.2020 0.2355 0.2440
O 0.2020 0.7645 0.2440
O 0.3117 0.2314 0.5647
O 0.3117 0.7686 0.5647
O 0.5246 0.2308 0.4491
O 0.5246 0.7692 0.4491
O 0.8329 0.2619 0.7111
O 0.8329 0.7381 0.7111

Principal peaks in the range 2θ = 10–90°, by angle:
10.8 deg, 8.216 Å, I 100.0, (0 0 1)
24.9 deg, 3.574 Å, I 95.4, (1 1 -2)
27.1 deg, 3.286 Å, I 79.6, (2 1 0)
32.7 deg, 2.739 Å, I 89.1, (0 2 0)
33.1 deg, 2.706 Å, I 75.0, (2 1 1)
33.4 deg, 2.684 Å, I 77.3, (3 1 -2)

This entry pairs a crystal structure of NdAg2Pd6 with its computed powder XRD pattern. Radiation: Cu Kα X-rays. Structure: a cell relaxed with GGA-PBE.

Cell and atoms:
abc: 5.4531 5.4531 7.3239
angles: 90.00 90.00 120.00
Fractional coordinates of all 9 atoms:
Nd 0.0000 0.0000 0.0000
Ag 0.3333 0.6667 0.5000
Ag 0.6667 0.3333 0.5000
Pd 0.0000 0.5000 0.1864
Pd 0.0000 0.5000 0.8136
Pd 0.5000 0.0000 0.1864
Pd 0.5000 0.0000 0.8136
Pd 0.5000 0.5000 0.1864
Pd 0.5000 0.5000 0.8136

Principal peaks in the range 2θ = 10–90°, by angle:
18.8 deg, 4.723 Å, I 45.9, (1 0 0)
22.4 deg, 3.969 Å, I 50.7, (1 0 1)
38.1 deg, 2.361 Å, I 100.0, (2 0 0)
40.1 deg, 2.247 Å, I 96.7, (2 0 1)
41.3 deg, 2.187 Å, I 92.7, (1 1 2)
41.6 deg, 2.169 Å, I 70.3, (1 0 3)